Entry 1:
This entry pairs a crystal structure of AcCoH6Rh with its simulated powder XRD pattern. Radiation: Cu Kα. Structure: a cell relaxed with GGA-PBE.

Structural model:
```
9
Lattice="4.711 0.000 0.000 -2.356 4.080 0.000 0.000 0.000 4.486" Properties=species:S:1:pos:R:3 pbc="T T T"
Ac 0.000 0.000 0.000
Co 2.356 1.360 2.243
H 2.356 0.068 1.185
H 2.356 0.068 3.302
H 1.237 2.006 1.185
H 1.237 2.006 3.302
H 3.475 2.006 1.185
H 3.475 2.006 3.302
Rh 0.000 2.720 2.243
```

The 12 most intense peaks (5° ≤ 2θ ≤ 70°), sorted by position:
2θ/deg  I/Imax
21.78  20
29.59  100
38.20  40
40.20  11
44.41  4
46.18  7
49.05  25
56.66  26
59.99  3
63.82  23
66.60  10
69.06  7



Entry 2:
This entry pairs a crystal structure of Ac12CoHg6 with its simulated powder XRD pattern. Radiation: Cu Kα. Structure: a cell relaxed with GGA-PBE.

Structural model:
```
19
Lattice="6.547 3.780 4.842 -6.547 3.780 4.842 0.000 -7.559 4.842" Properties=species:S:1:pos:R:3 pbc="T T T"
Ac -4.301 -4.203 8.011
Ac -5.791 1.623 6.513
Ac -2.291 -0.352 5.616
Ac 1.490 -5.826 6.513
Ac 1.450 -1.808 5.616
Ac -0.841 -2.160 8.909
Ac 0.841 2.160 5.616
Ac -1.450 1.808 8.909
Ac -1.490 5.826 8.011
Ac 2.291 0.352 8.909
Ac 5.791 -1.623 8.011
Ac 4.301 4.203 6.513
Co 0.000 0.000 0.000
Hg -1.398 -3.688 6.001
Hg -3.893 -0.634 8.524
Hg -2.495 3.054 6.001
Hg 2.495 -3.055 8.524
Hg 3.893 0.634 6.001
Hg 1.398 3.688 8.524
```

The 12 most intense peaks (5° ≤ 2θ ≤ 70°), sorted by position:
2θ/deg  I/Imax
25.76  55
27.24  24
29.05  100
30.99  35
32.31  24
33.03  97
37.40  20
44.94  15
51.44  13
52.87  20
58.37  18
62.51  14



Entry 3:
This entry pairs a crystal structure of Ac14Co3Hg6 with its simulated powder XRD pattern. Radiation: Cu Kα. Structure: a cell relaxed with GGA-PBE.

Structural model:
```
23
Lattice="11.157 0.000 0.000 -5.578 9.662 0.000 0.000 0.000 7.626" Properties=species:S:1:pos:R:3 pbc="T T T"
Ac 0.000 0.000 0.000
Ac -2.088 5.236 2.334
Ac 0.000 3.952 5.819
Ac -2.156 7.686 5.819
Ac 2.059 1.189 3.666
Ac 3.519 2.032 7.604
Ac 2.088 5.236 2.334
Ac 0.000 8.853 2.334
Ac 2.156 7.686 5.819
Ac 5.578 3.221 3.938
Ac 7.637 2.032 7.604
Ac 5.578 5.598 7.604
Ac 9.098 1.189 3.666
Ac 5.578 7.284 3.666
Co 0.000 0.000 5.064
Co 0.000 6.441 4.129
Co 5.578 3.221 1.387
Hg 0.000 2.846 1.491
Hg -3.114 8.239 1.491
Hg 5.578 0.425 5.495
Hg 3.157 4.618 5.495
Hg 3.114 8.239 1.491
Hg 7.999 4.618 5.495
```

The 12 most intense peaks (5° ≤ 2θ ≤ 70°), sorted by position:
2θ/deg  I/Imax
25.11  45
27.07  100
29.85  67
30.12  69
32.09  55
33.99  15
40.08  29
45.46  26
47.44  24
48.61  26
48.99  23
61.12  16



Entry 4:
This entry pairs a crystal structure of Ac7Co2Hg2 with its simulated powder XRD pattern. Radiation: Cu Kα. Structure: a cell relaxed with GGA-PBE.

Structural model:
```
11
Lattice="4.158 -6.140 0.000 4.158 6.140 0.000 0.000 0.000 7.569" Properties=species:S:1:pos:R:3 pbc="T T T"
Ac 0.000 0.000 0.000
Ac 2.079 3.070 1.871
Ac 2.079 3.070 5.698
Ac 2.079 -3.070 1.871
Ac 2.079 -3.070 5.698
Ac 4.158 0.000 1.803
Ac 4.158 0.000 5.765
Co 4.158 2.430 0.000
Co 4.158 -2.430 0.000
Hg 1.444 0.000 3.784
Hg 6.872 0.000 3.784
```

The 12 most intense peaks (5° ≤ 2θ ≤ 70°), sorted by position:
2θ/deg  I/Imax
24.42  19
25.88  69
26.88  55
27.69  37
29.09  69
34.02  42
35.24  100
48.08  19
49.63  20
55.41  17
55.63  20
57.19  21



Entry 5:
This entry pairs a crystal structure of Ac12Co6Hg with its simulated powder XRD pattern. Radiation: Cu Kα. Structure: a cell relaxed with GGA-PBE.

Structural model:
```
19
Lattice="-5.306 5.306 5.306 5.306 -5.306 5.306 5.306 5.306 -5.306" Properties=species:S:1:pos:R:3 pbc="T T T"
Ac 5.306 3.306 -1.996
Ac 3.310 0.000 2.000
Ac 7.302 0.000 2.000
Ac 2.000 3.310 0.000
Ac 3.306 -1.996 5.306
Ac 0.000 2.000 3.310
Ac 5.306 3.306 1.996
Ac 2.000 7.302 0.000
Ac 3.306 1.996 5.306
Ac -1.996 5.306 3.306
Ac 1.996 5.306 3.306
Ac 0.000 2.000 7.302
Co 5.306 1.152 0.000
Co 5.306 0.000 4.154
Co 4.154 5.306 0.000
Co 1.152 0.000 5.306
Co 0.000 5.306 1.152
Co 0.000 4.154 5.306
Hg 0.000 0.000 0.000
```

The 12 most intense peaks (5° ≤ 2θ ≤ 70°), sorted by position:
2θ/deg  I/Imax
23.72  8
26.56  73
29.15  46
31.55  100
33.79  14
43.49  24
50.13  45
51.68  17
53.21  43
59.04  11
61.82  19
64.53  8



Entry 6:
This entry pairs a crystal structure of Ac3LaCoHg2 with its simulated powder XRD pattern. Radiation: Cu Kα. Structure: a cell relaxed with GGA-PBE.

Structural model:
```
7
Lattice="-2.591 2.740 8.416 2.591 -2.740 8.416 2.591 2.740 -8.416" Properties=species:S:1:pos:R:3 pbc="T T T"
Ac 0.000 0.000 0.000
Ac 2.591 0.000 5.417
Ac 0.000 2.740 2.999
La 0.000 0.000 8.416
Co 0.000 2.740 0.000
Hg 2.591 0.000 2.196
Hg 0.000 2.740 6.220
```

The 12 most intense peaks (5° ≤ 2θ ≤ 70°), sorted by position:
2θ/deg  I/Imax
23.63  38
25.92  71
31.18  19
31.70  31
31.89  100
32.68  45
34.62  38
46.17  23
46.32  18
47.79  16
48.35  30
59.10  17



Entry 7:
This entry pairs a crystal structure of LiAcHoCo with its simulated powder XRD pattern. Radiation: Cu Kα. Structure: a cell relaxed with GGA-PBE.

Structural model:
```
4
Lattice="0.000 3.603 3.603 3.603 0.000 3.603 3.603 3.603 0.000" Properties=species:S:1:pos:R:3 pbc="T T T"
Li 0.000 0.000 0.000
Ac 1.802 1.802 1.802
Ho 5.405 5.405 5.405
Co 3.603 3.603 3.603
```

The 10 most intense peaks (5° ≤ 2θ ≤ 70°), sorted by position:
2θ/deg  I/Imax
21.36  8
24.71  60
35.22  100
41.56  4
43.50  19
50.67  18
55.59  2
57.16  26
63.21  37
67.54  1



Entry 8:
This entry pairs a crystal structure of Ac4CoI6 with its simulated powder XRD pattern. Radiation: Cu Kα. Structure: a cell relaxed with GGA-PBE.

Structural model:
```
22
Lattice="11.058 0.000 0.000 -5.529 9.577 0.000 0.000 0.000 8.414" Properties=species:S:1:pos:R:3 pbc="T T T"
Ac 0.000 3.942 0.000
Ac -2.115 7.606 0.000
Ac 0.000 6.384 4.905
Ac 3.414 1.971 4.207
Ac 2.115 7.606 0.000
Ac 5.529 3.192 0.698
Ac 7.644 1.971 4.207
Ac 5.529 5.635 4.207
Co 0.000 6.384 7.701
Co 5.529 3.192 3.494
I -2.232 5.096 2.584
I 0.000 2.744 5.178
I -3.153 8.205 5.178
I 2.376 1.372 0.971
I 2.232 5.096 2.584
I 0.000 8.961 2.584
I 5.529 0.615 6.791
I 3.297 4.481 6.791
I 3.153 8.205 5.178
I 8.682 1.372 0.971
I 5.529 6.833 0.971
I 7.761 4.481 6.791
```

The 12 most intense peaks (5° ≤ 2θ ≤ 70°), sorted by position:
2θ/deg  I/Imax
9.23  49
21.12  23
21.35  38
26.81  80
28.24  100
29.94  89
32.38  67
32.64  35
33.29  36
37.15  30
50.15  26
52.94  40



Entry 9:
This entry pairs a crystal structure of Ac3CoI3 with its simulated powder XRD pattern. Radiation: Cu Kα. Structure: a cell relaxed with GGA-PBE.

Structural model:
```
14
Lattice="9.938 0.000 0.000 0.000 4.346 0.000 -0.813 0.000 13.019" Properties=species:S:1:pos:R:3 pbc="T T T"
Ac 0.525 1.087 5.151
Ac 0.502 1.087 10.906
Ac 2.606 3.260 8.103
Ac 6.519 1.087 4.916
Ac 8.623 3.260 2.114
Ac 8.600 3.260 7.868
Co 0.657 1.087 8.098
Co 8.467 3.260 4.921
I 1.290 1.087 1.504
I 3.061 3.260 11.470
I 3.576 3.260 4.774
I 5.549 1.087 8.245
I 6.063 1.087 1.549
I 7.834 3.260 11.515
```

The 12 most intense peaks (5° ≤ 2θ ≤ 70°), sorted by position:
2θ/deg  I/Imax
6.79  27
8.92  25
27.28  100
27.40  48
29.08  15
30.08  13
36.23  14
38.21  29
39.88  31
41.56  20
50.50  19
51.80  13



Entry 10:
This entry pairs a crystal structure of Ac8Co3OsI4 with its simulated powder XRD pattern. Radiation: Cu Kα. Structure: a cell relaxed with GGA-PBE.

Structural model:
```
16
Lattice="7.439 -4.293 0.000 7.439 4.293 0.000 -4.972 0.000 8.634" Properties=species:S:1:pos:R:3 pbc="T T T"
Ac -0.009 0.000 5.869
Ac 3.707 2.153 5.899
Ac 2.465 0.000 2.736
Ac 6.198 2.153 2.735
Ac 3.707 -2.153 5.899
Ac 7.441 0.000 5.898
Ac 6.198 -2.153 2.735
Ac 9.915 0.000 2.765
Co -2.486 0.000 4.317
Co 1.233 2.146 4.317
Co 1.233 -2.146 4.317
Os 4.953 0.000 4.317
I 0.000 0.000 0.000
I 3.720 2.146 0.000
I 3.720 -2.146 0.000
I 7.439 0.000 0.000
```

The 12 most intense peaks (5° ≤ 2θ ≤ 70°), sorted by position:
2θ/deg  I/Imax
10.25  20
24.91  15
27.66  100
29.57  25
31.08  15
34.19  19
36.82  15
42.08  27
42.10  14
51.11  19
53.23  20
68.29  16



Entry 11:
This entry pairs a crystal structure of Ac10In2Co3 with its simulated powder XRD pattern. Radiation: Cu Kα. Structure: a cell relaxed with GGA-PBE.

Structural model:
```
30
Lattice="13.236 -4.020 0.000 13.236 4.020 0.000 -3.923 0.000 10.044" Properties=species:S:1:pos:R:3 pbc="T T T"
Ac 4.657 2.010 5.022
Ac -2.472 0.000 6.968
Ac 9.208 2.046 0.349
Ac 8.394 2.165 4.497
Ac 13.236 2.020 0.000
Ac 6.116 0.000 1.998
Ac 14.154 2.165 5.547
Ac 6.802 0.000 7.582
Ac 13.341 2.046 9.694
Ac 11.616 0.000 3.137
Ac 4.657 -2.010 5.022
Ac 10.933 0.000 6.907
Ac 9.208 -2.046 0.349
Ac 15.746 0.000 2.462
Ac 8.394 -2.165 4.497
Ac 16.433 0.000 8.046
Ac 13.236 -2.020 0.000
Ac 14.154 -2.165 5.547
Ac 13.341 -2.046 9.694
Ac 25.021 0.000 3.076
In 2.445 0.000 2.533
In 3.082 0.000 8.116
In 19.467 0.000 1.927
In 20.104 0.000 7.511
Co 11.274 2.079 5.022
Co 6.608 0.000 4.770
Co 11.188 0.000 0.295
Co 11.361 0.000 9.749
Co 15.941 0.000 5.274
Co 11.274 -2.079 5.022
```

The 12 most intense peaks (5° ≤ 2θ ≤ 70°), sorted by position:
2θ/deg  I/Imax
25.86  17
27.57  51
28.44  80
28.97  35
30.09  100
35.90  18
45.10  18
45.71  34
48.22  23
53.68  16
53.90  15
54.51  25



Entry 12:
This entry pairs a crystal structure of Ac6In2Co with its simulated powder XRD pattern. Radiation: Cu Kα. Structure: a cell relaxed with GGA-PBE.

Structural model:
```
18
Lattice="7.765 0.000 0.000 0.000 7.731 0.000 -7.701 0.000 11.107" Properties=species:S:1:pos:R:3 pbc="T T T"
Ac -2.164 1.704 5.254
Ac -6.015 2.161 10.808
Ac -1.652 5.551 5.261
Ac -5.502 6.045 10.815
Ac 0.452 0.006 2.807
Ac -3.398 3.860 8.361
Ac 3.463 3.871 2.746
Ac -0.388 7.725 8.300
Ac 5.566 1.686 0.292
Ac 1.716 2.180 5.846
Ac 6.079 5.570 0.299
Ac 2.229 6.026 5.853
In -3.897 0.185 8.311
In -0.047 3.680 2.757
In 0.111 4.051 8.350
In 3.962 7.545 2.796
Co 0.032 0.000 5.554
Co 3.882 3.865 0.000
```

The 12 most intense peaks (5° ≤ 2θ ≤ 70°), sorted by position:
2θ/deg  I/Imax
25.71  10
26.93  14
27.96  30
28.12  100
32.24  27
32.69  47
46.47  13
46.67  14
47.02  8
55.02  9
55.60  10
58.15  9